[1]
For MnCO3, a structure optimized by DFT (PBE+U) gives the calculated powder diffractogram in this record (CuKα).
Intensities are scaled so that the largest is 100.

Crystal structure
abc: 3.853 4.863 6.197
angles: 89.68 73.72 89.75
Space group P-1 (No. 2)
Symmetry-distinct sites (fractional):
Mn 0.006 0.315 0.250
C 0.500 0.187 0.750
O 0.234 0.681 0.384
O 0.239 0.325 0.884
O 0.495 0.919 0.751

Main lines, by intensity (10° ≤ 2θ ≤ 90°):
2θ (°)  I/Imax
30.0  100
30.8  82
30.6  78
30.4  55
37.0  43
44.7  31

=====

[2]
For Mn2C3O9, a structure optimized by DFT (PBE+U) gives the calculated powder diffractogram in this record (CuKα).
Intensities are scaled so that the largest is 100.

Crystal structure
abc: 7.602 7.605 7.608
angles: 107.61 107.36 107.45
Space group P1 (No. 1)
Symmetry-distinct sites (fractional):
Mn 0.000 0.000 0.000
Mn 0.009 0.661 0.531
Mn 0.530 0.011 0.661
Mn 0.660 0.532 0.012
C 0.086 0.893 0.290
C 0.287 0.088 0.893
C 0.400 0.649 0.733
C 0.647 0.732 0.402
C 0.731 0.402 0.649
C 0.890 0.289 0.086
O 0.162 0.863 0.450
O 0.185 0.893 0.838
O 0.205 0.982 0.225
O 0.222 0.207 0.982
O 0.227 0.576 0.578
O 0.426 0.541 0.831
O 0.447 0.163 0.863
O 0.538 0.831 0.427
O 0.548 0.824 0.787
O 0.575 0.229 0.577
O 0.575 0.577 0.228
O 0.785 0.550 0.824
O 0.821 0.787 0.550
O 0.829 0.427 0.540
O 0.834 0.190 0.891
O 0.862 0.449 0.164
O 0.891 0.836 0.190
O 0.979 0.220 0.202

Main lines, by intensity (10° ≤ 2θ ≤ 90°):
2θ (°)  I/Imax
19.8  100
14.4  83
13.5  41
32.2  38
30.9  27
35.5  26

=====

[3]
For MnC5O5, a structure optimized by DFT (PBE+U) gives the calculated powder diffractogram in this record (CuKα).
Intensities are scaled so that the largest is 100.

Crystal structure
abc: 23.093 6.535 12.570
angles: 90.00 120.21 90.00
Space group C2/c (No. 15)
Symmetry-distinct sites (fractional):
Mn 0.124 0.243 0.274
C 0.067 0.024 0.192
C 0.097 0.370 0.123
C 0.131 0.145 0.419
C 0.158 0.495 0.351
C 0.203 0.134 0.295
O 0.031 0.111 0.642
O 0.080 0.450 0.030
O 0.135 0.082 0.509
O 0.178 0.347 0.896
O 0.248 0.435 0.693

Main lines, by intensity (10° ≤ 2θ ≤ 90°):
2θ (°)  I/Imax
17.8  100
15.3  66
17.0  55
30.4  45
31.2  42
23.3  39

=====

[4]
For MnC2O6, a structure optimized by DFT (PBE+U) gives the calculated powder diffractogram in this record (CuKα).
Intensities are scaled so that the largest is 100.

Crystal structure
abc: 4.6688 4.6688 16.4250
angles: 90.00 90.00 120.00
Space group R-3 (No. 148, hexagonal axes)
Symmetry-distinct sites (fractional):
Mn 0.0000 0.0000 0.0000
C 0.0000 0.0000 0.2665
O 0.0334 0.7412 0.7349

Main lines, by intensity (10° ≤ 2θ ≤ 90°):
2θ (°)  I/Imax
16.2  100
31.0  66
22.6  54
42.1  38
51.4  19
44.7  13